# 1
Structure and computed powder XRD pattern of ZnIr2 (DFT lattice parameters and positions (GGA-PBE); a wavelength of 1.5418 Å).
Lines closer than 0.1° are merged.

Largest 10 diffraction maxima, by angle, 10° ≤ 2θ ≤ 90°:
13.49°, d 6.562, I 29, hkl 0 0 1; 40.21°, d 2.243, I 100, hkl 1 0 1; 41.27°, d 2.187, I 29, hkl 0 0 3; 47.08°, d 1.930, I 64, hkl 0 1 2; 68.04°, d 1.378, I 20, hkl 1 1 0; 69.53°, d 1.352, I 20, hkl 1 0 4; 82.08°, d 1.174, I 13, hkl 0 2 1; 82.79°, d 1.166, I 23, hkl 1 1 3; 84.19°, d 1.150, I 12, hkl 0 1 5; 86.85°, d 1.121, I 11, hkl 2 0 2

Structural model:
```
data_ZnIr2
_chemical_formula_sum 'Zn1 Ir2'
_space_group_name_H-M_alt 'P -3 m 1'
_space_group_IT_number 164
_space_group_name_Hall '-P 3 2"'
_cell_length_a 2.7560
_cell_length_b 2.7560
_cell_length_c 6.5621
_cell_angle_alpha 90.00
_cell_angle_beta 90.00
_cell_angle_gamma 120.00
loop_
_atom_site_label
_atom_site_fract_x
_atom_site_fract_y
_atom_site_fract_z
Zn1 0.0000 0.0000 0.0000
Ir1 0.3333 0.6667 0.6670
```


# 2
Structure and computed powder XRD pattern of Zr5Zn4Ir (DFT lattice parameters and positions (GGA-PBE); a wavelength of 1.5418 Å).
Lines closer than 0.1° are merged.

Largest 10 diffraction maxima, by angle, 10° ≤ 2θ ≤ 90°:
10.73°, d 8.248, I 8, hkl 0 0 2; 16.12°, d 5.498, I 4, hkl 0 0 3; 37.93°, d 2.372, I 51, hkl 1 1 0; 38.26°, d 2.352, I 100, hkl 1 0 5; 54.72°, d 1.677, I 17, hkl 2 0 0; 55.73°, d 1.650, I 8, hkl 0 0 10; 68.74°, d 1.366, I 34, hkl 2 1 5; 69.40°, d 1.354, I 16, hkl 1 1 10; 81.08°, d 1.186, I 5, hkl 2 2 0; 81.91°, d 1.176, I 10, hkl 2 0 10

Structural model:
```
data_Zr5Zn4Ir
_chemical_formula_sum 'Zr5 Zn4 Ir1'
_space_group_name_H-M_alt 'P 4/m m m'
_space_group_IT_number 123
_space_group_name_Hall '-P 4 2'
_cell_length_a 3.355
_cell_length_b 3.355
_cell_length_c 16.495
_cell_angle_alpha 90.00
_cell_angle_beta 90.00
_cell_angle_gamma 90.00
loop_
_atom_site_label
_atom_site_fract_x
_atom_site_fract_y
_atom_site_fract_z
Zr1 0.000 0.000 0.000
Zr2 0.000 0.000 0.201
Zr3 0.000 0.000 0.403
Zn1 0.500 0.500 0.100
Zn2 0.500 0.500 0.301
Ir1 0.500 0.500 0.500
```


# 3
Structure and computed powder XRD pattern of ZrZnIr (DFT lattice parameters and positions (GGA-PBE); a wavelength of 1.5418 Å).
Lines closer than 0.1° are merged.

Largest 10 diffraction maxima, by angle, 10° ≤ 2θ ≤ 90°:
20.50°, d 4.333, I 25, hkl 0 0 2; 25.75°, d 3.460, I 22, hkl 0 1 1; 37.51°, d 2.398, I 100, hkl 1 1 0; 39.28°, d 2.294, I 87, hkl 0 1 3; 42.76°, d 2.115, I 69, hkl 1 0 3; 43.12°, d 2.098, I 15, hkl 1 1 2; 48.23°, d 1.887, I 24, hkl 0 2 0; 66.40°, d 1.408, I 37, hkl 1 2 3; 73.69°, d 1.286, I 27, hkl 2 1 3; 77.09°, d 1.237, I 23, hkl 1 1 6

Structural model:
```
data_ZrZnIr
_chemical_formula_sum 'Zr2 Zn2 Ir2'
_space_group_name_H-M_alt 'I m m 2'
_space_group_IT_number 44
_cell_length_a 3.105
_cell_length_b 3.774
_cell_length_c 8.667
_cell_angle_alpha 90.00
_cell_angle_beta 90.00
_cell_angle_gamma 90.00
loop_
_space_group_symop_operation_xyz
'x,y,z'
'-x,-y,z'
'-x,y,z'
'x,-y,z'
'x+1/2,y+1/2,z+1/2'
'-x+1/2,-y+1/2,z+1/2'
'-x+1/2,y+1/2,z+1/2'
'x+1/2,-y+1/2,z+1/2'
loop_
_atom_site_label
_atom_site_fract_x
_atom_site_fract_y
_atom_site_fract_z
Zr1 0.000 0.000 0.000
Zn1 0.000 0.000 0.321
Ir1 0.000 0.000 0.665
```


# 4
Structure and computed powder XRD pattern of Zr2ZnIr4 (DFT lattice parameters and positions (GGA-PBE); a wavelength of 1.5418 Å).
Lines closer than 0.1° are merged.

Largest 10 diffraction maxima, by angle, 10° ≤ 2θ ≤ 90°:
10.18°, d 8.692, I 100, hkl 0 0 2; 23.54°, d 3.780, I 13, hkl 1 0 1; 34.34°, d 2.612, I 27, hkl 1 1 2; 38.87°, d 2.317, I 89, hkl 1 1 4; 41.56°, d 2.173, I 20, hkl 0 0 8; 43.28°, d 2.090, I 13, hkl 1 0 7; 45.58°, d 1.990, I 31, hkl 1 1 6; 46.93°, d 1.936, I 38, hkl 2 0 0; 64.46°, d 1.446, I 22, hkl 2 0 8; 81.70°, d 1.179, I 21, hkl 3 1 4

Structural model:
```
data_Zr2ZnIr4
_chemical_formula_sum 'Zr4 Zn2 Ir8'
_space_group_name_H-M_alt 'I 4/m m m'
_space_group_IT_number 139
_space_group_name_Hall '-I 4 2'
_cell_length_a 3.872
_cell_length_b 3.872
_cell_length_c 17.384
_cell_angle_alpha 90.00
_cell_angle_beta 90.00
_cell_angle_gamma 90.00
loop_
_atom_site_label
_atom_site_fract_x
_atom_site_fract_y
_atom_site_fract_z
Zr1 0.000 0.000 0.118
Zn1 0.000 0.000 0.500
Ir1 0.000 0.000 0.359
Ir2 0.000 0.500 0.250
```


# 5
Structure and computed powder XRD pattern of Zr3Ir (DFT lattice parameters and positions (GGA-PBE); a wavelength of 1.5418 Å).
Lines closer than 0.1° are merged.

Largest 10 diffraction maxima, by angle, 10° ≤ 2θ ≤ 90°:
24.10°, d 3.693, I 46, hkl 2 1 1; 33.45°, d 2.679, I 68, hkl 1 1 2; 33.75°, d 2.656, I 67, hkl 3 2 1; 35.21°, d 2.549, I 73, hkl 3 3 0; 37.19°, d 2.418, I 36, hkl 4 2 0; 37.74°, d 2.384, I 71, hkl 4 1 1; 39.34°, d 2.290, I 100, hkl 2 2 2; 42.64°, d 2.121, I 40, hkl 5 1 0; 48.02°, d 1.895, I 44, hkl 5 2 1; 69.73°, d 1.349, I 33, hkl 5 5 2

Structural model:
```
data_Zr3Ir
_chemical_formula_sum 'Zr24 Ir8'
_space_group_name_H-M_alt 'I -4 2 m'
_space_group_IT_number 121
_space_group_name_Hall 'I -4 2'
_cell_length_a 10.813
_cell_length_b 10.813
_cell_length_c 5.720
_cell_angle_alpha 90.00
_cell_angle_beta 90.00
_cell_angle_gamma 90.00
loop_
_atom_site_label
_atom_site_fract_x
_atom_site_fract_y
_atom_site_fract_z
Zr1 0.000 0.354 0.000
Zr2 0.096 0.096 0.237
Zr3 0.206 0.206 0.748
Ir1 0.000 0.292 0.500
```


# 6
Structure and computed powder XRD pattern of Zr3Ir (DFT lattice parameters and positions (GGA-PBE); a wavelength of 1.5418 Å).
Lines closer than 0.1° are merged.

Largest 10 diffraction maxima, by angle, 10° ≤ 2θ ≤ 90°:
22.67°, d 3.922, I 58, hkl 2 0 1; 33.70°, d 2.660, I 100, hkl 1 1 2; 35.07°, d 2.559, I 59, hkl 3 3 0; 37.03°, d 2.428, I 33, hkl 4 2 0; 37.66°, d 2.388, I 31, hkl 4 1 1; 39.51°, d 2.281, I 78, hkl 2 2 2; 40.42°, d 2.232, I 43, hkl 4 2 1; 42.45°, d 2.129, I 35, hkl 5 1 0; 60.72°, d 1.525, I 23, hkl 6 0 2; 69.64°, d 1.350, I 27, hkl 5 5 2

Structural model:
```
data_Zr3Ir
_chemical_formula_sum 'Zr24 Ir8'
_space_group_name_H-M_alt 'P 42/n b c'
_space_group_IT_number 133
_cell_length_a 10.857
_cell_length_b 10.857
_cell_length_c 5.671
_cell_angle_alpha 90.00
_cell_angle_beta 90.00
_cell_angle_gamma 90.00
loop_
_space_group_symop_operation_xyz
'x,y,z'
'-x,-y,-z'
'-y+1/2,x,z+1/2'
'y+1/2,-x,-z+1/2'
'-x+1/2,-y+1/2,z'
'x+1/2,y+1/2,-z'
'y,-x+1/2,z+1/2'
'-y,x+1/2,-z+1/2'
'x,-y+1/2,-z'
'-x,y+1/2,z'
'-y+1/2,-x+1/2,-z+1/2'
'y+1/2,x+1/2,z+1/2'
'-x+1/2,y,-z'
'x+1/2,-y,z'
'y,x,-z+1/2'
'-y,-x,z+1/2'
loop_
_atom_site_label
_atom_site_fract_x
_atom_site_fract_y
_atom_site_fract_z
Zr1 0.041 0.041 0.250
Zr2 0.102 0.750 0.000
Zr3 0.154 0.154 0.750
Ir1 0.045 0.750 0.500
```


# 7
Structure and computed powder XRD pattern of ZrIr3 (DFT lattice parameters and positions (GGA-PBE); a wavelength of 1.5418 Å).
Lines closer than 0.1° are merged.

Largest 10 diffraction maxima, by angle, 10° ≤ 2θ ≤ 90°:
18.05°, d 4.916, I 6, hkl 1 0 0; 26.66°, d 3.344, I 5, hkl 1 0 1; 36.56°, d 2.458, I 24, hkl 2 0 0; 39.51°, d 2.281, I 26, hkl 0 0 2; 41.74°, d 2.164, I 100, hkl 2 0 1; 54.91°, d 1.672, I 15, hkl 2 0 2; 65.81°, d 1.419, I 17, hkl 2 2 0; 73.19°, d 1.293, I 19, hkl 2 0 3; 79.55°, d 1.205, I 20, hkl 2 2 2; 81.03°, d 1.187, I 14, hkl 4 0 1

Structural model:
```
data_ZrIr3
_chemical_formula_sum 'Zr2 Ir6'
_space_group_name_H-M_alt 'P 63/m m c'
_space_group_IT_number 194
_space_group_name_Hall '-P 6c 2c'
_cell_length_a 5.6763
_cell_length_b 5.6763
_cell_length_c 4.5622
_cell_angle_alpha 90.00
_cell_angle_beta 90.00
_cell_angle_gamma 120.00
loop_
_atom_site_label
_atom_site_fract_x
_atom_site_fract_y
_atom_site_fract_z
Zr1 0.3333 0.6667 0.2500
Ir1 0.1611 0.3223 0.7500
```


# 8
Structure and computed powder XRD pattern of ZrIr2 (DFT lattice parameters and positions (GGA-PBE); a wavelength of 1.5418 Å).
Lines closer than 0.1° are merged.

Largest 10 diffraction maxima, by angle, 10° ≤ 2θ ≤ 90°:
14.17°, d 6.251, I 6, hkl 0 0 4; 22.60°, d 3.935, I 6, hkl 1 0 1; 38.57°, d 2.334, I 100, hkl 1 1 6; 43.43°, d 2.084, I 17, hkl 0 0 12; 45.53°, d 1.992, I 32, hkl 2 0 0; 64.74°, d 1.440, I 21, hkl 2 0 12; 66.36°, d 1.409, I 10, hkl 2 2 0; 76.46°, d 1.246, I 13, hkl 1 1 18; 79.47°, d 1.206, I 25, hkl 3 1 6; 82.69°, d 1.167, I 11, hkl 2 2 12

Structural model:
```
data_ZrIr2
_chemical_formula_sum 'Zr8 Ir16'
_space_group_name_H-M_alt 'I 41/a m d'
_space_group_IT_number 141
_cell_length_a 3.984
_cell_length_b 3.984
_cell_length_c 25.003
_cell_angle_alpha 90.00
_cell_angle_beta 90.00
_cell_angle_gamma 90.00
loop_
_space_group_symop_operation_xyz
'x,y,z'
'-x,-y,-z'
'-y+1/4,x+3/4,z+1/4'
'y+1/4,-x+3/4,-z+1/4'
'-x+1/2,-y,z+1/2'
'x+1/2,y,-z+1/2'
'y+1/4,-x+1/4,z+3/4'
'-y+1/4,x+1/4,-z+3/4'
'x,-y,-z'
'-x,y,z'
'-y+1/4,-x+1/4,-z+3/4'
'y+1/4,x+1/4,z+3/4'
'-x+1/2,y,-z+1/2'
'x+1/2,-y,z+1/2'
'y+1/4,x+3/4,-z+1/4'
'-y+1/4,-x+3/4,z+1/4'
'x+1/2,y+1/2,z+1/2'
'-x+1/2,-y+1/2,-z+1/2'
'-y+3/4,x+1/4,z+3/4'
'y+3/4,-x+1/4,-z+3/4'
'-x,-y+1/2,z'
'x,y+1/2,-z'
'y+3/4,-x+3/4,z+1/4'
'-y+3/4,x+3/4,-z+1/4'
'x+1/2,-y+1/2,-z+1/2'
'-x+1/2,y+1/2,z+1/2'
'-y+3/4,-x+3/4,-z+1/4'
'y+3/4,x+3/4,z+1/4'
'-x,y+1/2,-z'
'x,-y+1/2,z'
'y+3/4,x+1/4,-z+3/4'
'-y+3/4,-x+1/4,z+3/4'
loop_
_atom_site_label
_atom_site_fract_x
_atom_site_fract_y
_atom_site_fract_z
Zr1 0.000 0.250 0.298
Ir1 0.000 0.250 0.125
Ir2 0.000 0.250 0.793
```


# 9
Structure and computed powder XRD pattern of Zr7Ir3 (DFT lattice parameters and positions (GGA-PBE); a wavelength of 1.5418 Å).
Lines closer than 0.1° are merged.

Largest 10 diffraction maxima, by angle, 10° ≤ 2θ ≤ 90°:
19.01°, d 4.668, I 50, hkl 1 0 1; 27.12°, d 3.288, I 54, hkl 2 0 1; 33.45°, d 2.679, I 100, hkl 3 0 0; 37.09°, d 2.424, I 99, hkl 3 0 1; 38.58°, d 2.334, I 89, hkl 2 0 2; 38.89°, d 2.316, I 95, hkl 2 2 0; 43.42°, d 2.084, I 44, hkl 2 1 2; 52.19°, d 1.753, I 36, hkl 3 2 1; 54.83°, d 1.674, I 32, hkl 4 1 1; 75.90°, d 1.254, I 36, hkl 5 2 1

Structural model:
```
data_Zr7Ir3
_chemical_formula_sum 'Zr14 Ir6'
_space_group_name_H-M_alt 'P 63 m c'
_space_group_IT_number 186
_space_group_name_Hall 'P 6c -2c'
_cell_length_a 9.2633
_cell_length_b 9.2633
_cell_length_c 5.7393
_cell_angle_alpha 90.00
_cell_angle_beta 90.00
_cell_angle_gamma 120.00
loop_
_atom_site_label
_atom_site_fract_x
_atom_site_fract_y
_atom_site_fract_z
Zr1 0.0744 0.5372 0.0000
Zr2 0.1315 0.2630 0.2867
Zr3 0.3333 0.6667 0.4755
Ir1 0.1895 0.3790 0.7371
```


# 10
Structure and computed powder XRD pattern of Zr5Ir3 (DFT lattice parameters and positions (GGA-PBE); a wavelength of 1.5418 Å).
Lines closer than 0.1° are merged.

Largest 10 diffraction maxima, by angle, 10° ≤ 2θ ≤ 90°:
24.41°, d 3.646, I 69, hkl 2 1 1; 26.64°, d 3.346, I 27, hkl 3 1 0; 34.34°, d 2.611, I 43, hkl 3 2 1; 35.68°, d 2.516, I 54, hkl 2 0 2; 36.71°, d 2.448, I 44, hkl 2 1 2; 38.03°, d 2.366, I 83, hkl 4 2 0; 38.45°, d 2.342, I 100, hkl 4 1 1; 46.77°, d 1.942, I 37, hkl 4 0 2; 49.02°, d 1.858, I 37, hkl 5 2 1; 51.68°, d 1.769, I 25, hkl 2 1 3

Structural model:
```
data_Zr5Ir3
_chemical_formula_sum 'Zr20 Ir12'
_space_group_name_H-M_alt 'P 4/n c c'
_space_group_IT_number 130
_cell_length_a 10.581
_cell_length_b 10.581
_cell_length_c 5.721
_cell_angle_alpha 90.00
_cell_angle_beta 90.00
_cell_angle_gamma 90.00
loop_
_space_group_symop_operation_xyz
'x,y,z'
'-x,-y,-z'
'-y+1/2,x,z'
'y+1/2,-x,-z'
'-x+1/2,-y+1/2,z'
'x+1/2,y+1/2,-z'
'y,-x+1/2,z'
'-y,x+1/2,-z'
'x+1/2,-y,-z+1/2'
'-x+1/2,y,z+1/2'
'-y,-x,-z+1/2'
'y,x,z+1/2'
'-x,y+1/2,-z+1/2'
'x,-y+1/2,z+1/2'
'y+1/2,x+1/2,-z+1/2'
'-y+1/2,-x+1/2,z+1/2'
loop_
_atom_site_label
_atom_site_fract_x
_atom_site_fract_y
_atom_site_fract_z
Zr1 0.039 0.163 0.155
Zr2 0.250 0.750 0.000
Ir1 0.093 0.593 0.750
Ir2 0.250 0.250 0.429
```


# 11
Structure and computed powder XRD pattern of Zr5Ir3 (DFT lattice parameters and positions (GGA-PBE); a wavelength of 1.5418 Å).
Lines closer than 0.1° are merged.

Largest 10 diffraction maxima, by angle, 10° ≤ 2θ ≤ 90°:
12.81°, d 6.909, I 18, hkl 1 0 0; 27.23°, d 3.275, I 27, hkl 1 1 3; 31.17°, d 2.869, I 21, hkl 0 0 6; 34.34°, d 2.611, I 16, hkl 2 1 0; 36.86°, d 2.439, I 14, hkl 2 0 5; 37.85°, d 2.377, I 100, hkl 2 1 3; 38.66°, d 2.329, I 48, hkl 1 1 6; 39.11°, d 2.303, I 30, hkl 3 0 0; 44.08°, d 2.054, I 17, hkl 1 0 8; 50.19°, d 1.818, I 25, hkl 3 1 3

Structural model:
```
data_Zr5Ir3
_chemical_formula_sum 'Zr30 Ir18'
_space_group_name_H-M_alt 'P 61 2 2'
_space_group_IT_number 178
_space_group_name_Hall 'P 61 2 (0 0 5)'
_cell_length_a 7.9783
_cell_length_b 7.9783
_cell_length_c 17.2140
_cell_angle_alpha 90.00
_cell_angle_beta 90.00
_cell_angle_gamma 120.00
loop_
_atom_site_label
_atom_site_fract_x
_atom_site_fract_y
_atom_site_fract_z
Zr1 0.0000 0.2487 0.3333
Zr2 0.0090 0.2375 0.9930
Zr3 0.2478 0.6239 0.5833
Zr4 0.3101 0.6550 0.0833
Ir1 0.0000 0.3826 0.8333
Ir2 0.0234 0.4175 0.1904
```


# 12
Structure and computed powder XRD pattern of K (DFT lattice parameters and positions (GGA-PBE); a wavelength of 1.5418 Å).
Lines closer than 0.1° are merged.

Largest 10 diffraction maxima, by angle, 10° ≤ 2θ ≤ 90°:
22.62°, d 3.931, I 37, hkl 1 1 0; 23.36°, d 3.809, I 67, hkl 0 0 4; 23.68°, d 3.757, I 17, hkl 1 1 -1; 24.39°, d 3.650, I 100, hkl 0 1 2; 24.96°, d 3.567, I 61, hkl 0 1 -2; 25.01°, d 3.561, I 46, hkl 1 0 -2; 31.79°, d 2.815, I 14, hkl 1 1 4; 37.53°, d 2.397, I 17, hkl 1 -1 0; 41.29°, d 2.186, I 24, hkl 0 1 6; 42.43°, d 2.130, I 20, hkl 0 1 -6

Structural model:
```
data_K
_chemical_formula_sum 'K4'
_space_group_name_H-M_alt 'P 1'
_space_group_IT_number 1
_cell_length_a 4.604
_cell_length_b 4.615
_cell_length_c 15.259
_cell_angle_alpha 87.25
_cell_angle_beta 87.33
_cell_angle_gamma 62.66
loop_
_space_group_symop_operation_xyz
'x,y,z'
loop_
_atom_site_label
_atom_site_fract_x
_atom_site_fract_y
_atom_site_fract_z
K1 0.000 0.000 0.000
K2 0.088 0.073 0.501
K3 0.390 0.401 0.751
K4 0.498 0.484 0.252
```